Entry 1:
# Ag7PS6
Simulated powder X-ray diffraction pattern, Cu Kα X-rays. Input: the PBE geometry in OQMD.
Lines closer than 0.1° are merged.

Principal peaks in the range 2θ from 10° to 80°, sorted by position:
two_theta  d [Å]  Rel. int.
14.60  6.068  36
25.42  3.503  38
29.44  3.034  100
30.67  2.915  36
31.86  2.809  47
36.26  2.477  57
38.30  2.350  25
39.28  2.294  29
43.93  2.061  25
44.81  2.023  30
47.37  1.919  23
49.03  1.858  28

Atomic structure:
```
data_Ag7PS6
_cell_length_a 10.5105
_cell_length_b 10.5105
_cell_length_c 10.5105
_cell_angle_alpha 90.00
_cell_angle_beta 90.00
_cell_angle_gamma 90.00
_symmetry_space_group_name_H-M 'P 21 3'
_symmetry_Int_Tables_number 198
_symmetry_space_group_name_Hall 'P 2ac 2ab 3'
loop_
_atom_site_label
_atom_site_fract_x
_atom_site_fract_y
_atom_site_fract_z
Ag1 0.0096 0.4890 0.7765
Ag2 0.0730 0.5986 0.2354
Ag3 0.1513 0.8487 0.3487
P1 0.2478 0.7478 0.7522
S1 0.0181 0.9819 0.4819
S2 0.1284 0.6425 0.6352
S3 0.1373 0.1373 0.1373
S4 0.2164 0.2836 0.7164
```



Entry 2:
# LaGa3Au
Simulated powder X-ray diffraction pattern, Cu Kα X-rays. Input: the PBE geometry in OQMD.
Lines closer than 0.1° are merged.

Principal peaks in the range 2θ from 10° to 80°, sorted by position:
two_theta  d [Å]  Rel. int.
21.78  4.081  35
28.63  3.117  43
32.11  2.787  100
33.19  2.699  89
40.94  2.204  76
44.40  2.040  38
46.86  1.939  50
52.96  1.729  49
59.30  1.558  40
63.95  1.456  34
69.67  1.350  27
76.99  1.238  17

Atomic structure:
```
data_LaGa3Au
_cell_length_a 4.4087
_cell_length_b 4.4087
_cell_length_c 10.7926
_cell_angle_alpha 90.00
_cell_angle_beta 90.00
_cell_angle_gamma 90.00
_symmetry_space_group_name_H-M 'I 4 m m'
_symmetry_Int_Tables_number 107
_symmetry_space_group_name_Hall 'I 4 -2'
loop_
_atom_site_label
_atom_site_fract_x
_atom_site_fract_y
_atom_site_fract_z
La1 0.0000 0.0000 0.0000
Ga1 0.0000 0.0000 0.4036
Ga2 0.0000 0.5000 0.2633
Au1 0.0000 0.0000 0.6369
```